Pm3Pr12Cd: theoretical X-ray diffraction stick pattern (Cu Kα (weighted mean of Kα1 and Kα2)), based on a crystal structure in Alexandria, relaxed with GGA-PBE.

Cell and atoms:
```
data_Pm3Pr12Cd
_space_group_name_H-M_alt 'P 4/m m m'
_space_group_IT_number 123
_space_group_name_Hall '-P 4 2'
_cell_length_a 5.161
_cell_length_b 5.161
_cell_length_c 20.897
_cell_angle_alpha 90.00
_cell_angle_beta 90.00
_cell_angle_gamma 90.00
loop_
_atom_site_label
_atom_site_fract_x
_atom_site_fract_y
_atom_site_fract_z
Pm1 0.000 0.000 0.000
Pm2 0.000 0.000 0.253
Pr1 0.000 0.500 0.127
Pr2 0.000 0.500 0.379
Pr3 0.500 0.500 0.000
Pr4 0.500 0.500 0.255
Pr5 0.500 0.500 0.500
Cd1 0.000 0.000 0.500
```

Largest 8 diffraction maxima, sorted by position, 5 to 70 degrees two-theta:
2theta	Rel. int.	index
29.86	100	1 1 4
34.33	17	0 0 8
34.76	34	2 0 0
49.66	24	2 0 8
49.98	12	2 2 0
58.75	14	1 1 12
59.32	29	3 1 4
62.04	12	2 2 8

KRb2: theoretical X-ray diffraction stick pattern (Cu Kα (weighted mean of Kα1 and Kα2)), based on a crystal structure in Alexandria, relaxed with GGA-PBE.

Cell and atoms:
```
data_KRb2
_space_group_name_H-M_alt 'P 6/m m m'
_space_group_IT_number 191
_space_group_name_Hall '-P 6 2'
_cell_length_a 7.8989
_cell_length_b 7.8989
_cell_length_c 4.6846
_cell_angle_alpha 90.00
_cell_angle_beta 90.00
_cell_angle_gamma 120.00
loop_
_atom_site_label
_atom_site_fract_x
_atom_site_fract_y
_atom_site_fract_z
K1 0.0000 0.0000 0.0000
Rb1 0.3333 0.6667 0.5000
```

Largest 8 diffraction maxima, sorted by position, 5 to 70 degrees two-theta:
2theta	Rel. int.	index
18.94	18	0 0 1
22.51	100	1 1 0
23.01	68	1 0 1
29.58	38	1 1 1
32.41	28	2 0 1
39.52	22	3 0 0
39.82	30	2 1 1
45.00	30	1 1 2

UCuPtRh: theoretical X-ray diffraction stick pattern (Cu Kα (weighted mean of Kα1 and Kα2)), based on a crystal structure in Alexandria, relaxed with GGA-PBE.

Cell and atoms:
```
data_UCuPtRh
_space_group_name_H-M_alt 'F -4 3 m'
_space_group_IT_number 216
_space_group_name_Hall 'F -4 2 3'
_cell_length_a 6.520
_cell_length_b 6.520
_cell_length_c 6.520
_cell_angle_alpha 90.00
_cell_angle_beta 90.00
_cell_angle_gamma 90.00
loop_
_atom_site_label
_atom_site_fract_x
_atom_site_fract_y
_atom_site_fract_z
U1 0.000 0.000 0.000
Cu1 0.000 0.000 0.500
Pt1 0.250 0.250 0.750
Rh1 0.250 0.250 0.250
```

Largest 5 diffraction maxima, sorted by position, 5 to 70 degrees two-theta:
2theta	Rel. int.	index
23.63	21	1 1 1
39.07	100	2 2 0
46.18	12	3 1 1
56.45	17	4 0 0
62.05	5	3 3 1

BaY2N: theoretical X-ray diffraction stick pattern (Cu Kα (weighted mean of Kα1 and Kα2)), based on a crystal structure in Alexandria, relaxed with GGA-PBE.

Cell and atoms:
Unit cell a=10.413 b=10.413 c=10.413 alpha=90.00 beta=90.00 gamma=90.00
Space group Fd-3m (No. 227, origin choice 2)
One atom of each set of equivalent atoms:
Ba (0.125, 0.125, 0.125) [8 per cell]
Y (0.000, 0.000, 0.500) [16 per cell]
N (0.125, 0.125, 0.625) [8 per cell]

Largest 8 diffraction maxima, sorted by position, 5 to 70 degrees two-theta:
2theta	Rel. int.	index
24.18	53	2 2 0
28.43	100	3 1 1
29.72	33	2 2 2
42.53	23	4 2 2
45.25	37	5 1 1
49.52	37	4 4 0
58.83	13	6 2 2
69.32	24	7 3 1

Nd6Ni2Os: theoretical X-ray diffraction stick pattern (Cu Kα (weighted mean of Kα1 and Kα2)), based on a crystal structure in Alexandria, relaxed with GGA-PBE.

Cell and atoms:
```
data_Nd6Ni2Os
_space_group_name_H-M_alt 'I m m m'
_space_group_IT_number 71
_space_group_name_Hall '-I 2 2'
_cell_length_a 9.549
_cell_length_b 9.865
_cell_length_c 9.999
_cell_angle_alpha 90.00
_cell_angle_beta 90.00
_cell_angle_gamma 90.00
loop_
_atom_site_label
_atom_site_fract_x
_atom_site_fract_y
_atom_site_fract_z
Nd1 0.000 0.237 0.178
Nd2 0.186 0.334 0.500
Nd3 0.240 0.000 0.330
Ni1 0.000 0.117 0.500
Ni2 0.000 0.500 0.316
Os1 0.000 0.000 0.000
Os2 0.000 0.500 0.000
```

Largest 8 diffraction maxima, sorted by position, 5 to 70 degrees two-theta:
2theta	Rel. int.	index
28.58	30	0 3 1
29.45	50	3 0 1
31.63	100	2 2 2
33.79	89	1 2 3
34.03	73	2 1 3
34.31	34	2 3 1
37.68	36	4 0 0
58.79	28	5 2 3

RbPa2PdO8: theoretical X-ray diffraction stick pattern (Cu Kα (weighted mean of Kα1 and Kα2)), based on a crystal structure in Alexandria, relaxed with GGA-PBE.

Cell and atoms:
```
data_RbPa2PdO8
_space_group_name_H-M_alt 'P 1 2/m 1'
_space_group_IT_number 10
_cell_length_a 5.109
_cell_length_b 7.245
_cell_length_c 5.117
_cell_angle_alpha 90.00
_cell_angle_beta 93.46
_cell_angle_gamma 90.00
loop_
_space_group_symop_operation_xyz
'x,y,z'
'-x,-y,-z'
'-x,y,-z'
'x,-y,z'
loop_
_atom_site_label
_atom_site_fract_x
_atom_site_fract_y
_atom_site_fract_z
Rb1 0.000 0.000 0.000
Pa1 0.500 0.249 0.500
Pd1 0.000 0.500 0.000
O1 0.215 0.312 0.213
O2 0.277 0.500 0.721
O3 0.336 0.000 0.659
```

Largest 8 diffraction maxima, sorted by position, 5 to 70 degrees two-theta:
2theta	Rel. int.	index
17.38	34	0 0 1
23.90	54	1 0 -1
25.41	44	1 0 1
30.26	100	1 2 0
35.17	26	0 0 2
46.19	39	2 2 -1
47.91	32	2 2 1
60.09	20	0 2 3